Calculated powder XRD pattern
Compound: MgTi3Fe2CoP6O24
Radiation: Cu Kα (λ = 1.5418 Å)
Structure: a PBE+U-relaxed structure

Principal peaks in the range 2θ = 10–80°, low angle first:
(1 -1 1), 2θ = 20.35°, I 86
(-2 2 1), 2θ = 23.91°, I 100
(0 0 2), 2θ = 24.99°, I 17
(1 -1 2), 2θ = 31.59°, I 18
(1 2 -2), 2θ = 32.43°, I 36
(-1 3 1), 2θ = 35.63°, I 40
(2 2 -1), 2θ = 43.35°, I 11
(1 3 -3), 2θ = 46.50°, I 25
(-3 2 4), 2θ = 46.61°, I 13
(-2 2 4), 2θ = 48.92°, I 14
(-1 4 2), 2θ = 55.69°, I 29
(3 -5 1), 2θ = 55.80°, I 14

Structure:
```
data_MgTi3Fe2CoP6O24
_cell_length_a 8.715
_cell_length_b 8.719
_cell_length_c 8.730
_cell_angle_alpha 90.14
_cell_angle_beta 119.91
_cell_angle_gamma 119.85
_space_group_name_H-M_alt 'P 1'
_space_group_IT_number 1
loop_
_space_group_symop_operation_xyz
'x,y,z'
loop_
_atom_site_label
_atom_site_fract_x
_atom_site_fract_y
_atom_site_fract_z
Mg1 0.000 0.000 0.000
Ti1 0.213 0.606 0.392
Ti2 0.247 0.123 0.878
Ti3 0.800 0.400 0.601
Fe1 0.498 0.750 0.251
Fe2 0.514 0.257 0.745
Co1 0.763 0.879 0.119
P1 0.002 0.791 0.496
P2 0.007 0.705 0.997
P3 0.296 0.505 0.789
P4 0.305 0.301 0.296
P5 0.708 0.003 0.699
P6 0.716 0.210 0.210
O1 0.064 0.416 0.729
O2 0.085 0.136 0.247
O3 0.104 0.743 0.420
O4 0.124 0.874 0.941
O5 0.182 0.690 0.160
O6 0.191 0.989 0.651
O7 0.309 0.248 0.127
O8 0.325 0.581 0.640
O9 0.332 0.492 0.308
O10 0.343 0.350 0.799
O11 0.450 0.653 0.985
O12 0.487 0.323 0.487
O13 0.532 0.842 0.507
O14 0.550 0.198 0.011
O15 0.671 0.015 0.208
O16 0.677 0.165 0.681
O17 0.688 0.271 0.355
O18 0.701 0.947 0.864
O19 0.812 0.797 0.347
O20 0.836 0.514 0.835
O21 0.889 0.753 0.051
O22 0.915 0.645 0.582
O23 0.934 0.061 0.752
O24 0.941 0.360 0.257
```